# 1
Calculated powder XRD pattern of In17GaHg11 for CuKα, from a crystal structure in Alexandria, relaxed with GGA-PBE.
Kinematic intensities with the Lorentz-polarization factor, no thermal factor.

The 10 most intense peaks (2θ = 10–90°), by intensity:
2θ/deg  intensity  (hkl)
32.9  1000  2 1 1
31.2  923  -2 2 2
34.2  675  2 -3 2
33.5  452  3 1 -2
37.7  430  1 2 -4
31.0  396  -3 1 2
38.8  384  2 -4 0
36.5  334  1 0 3
31.3  299  2 2 -1
37.9  260  -4 1 1

Structure:
Cell: 9.517 9.789 9.791 Å, 106.93 105.73 105.82°
Space group P1 (No. 1)
Symmetry-distinct sites (fractional):
In (0.000, 0.000, 0.000)
In (0.000, 0.634, 0.374)
In (0.344, 0.261, 0.046)
In (0.347, 0.675, 0.628)
In (0.364, 0.049, 0.741)
In (0.365, 0.369, 0.419)
In (0.367, 0.407, 0.777)
In (0.407, 0.713, 0.085)
In (0.596, 0.041, 0.048)
In (0.599, 0.678, 0.413)
In (0.607, 0.270, 0.640)
In (0.690, 0.355, 0.350)
In (0.690, 0.981, 0.727)
In (0.709, 0.040, 0.410)
In (0.971, 0.248, 0.267)
In (0.973, 0.903, 0.623)
In (0.998, 0.667, 0.038)
Ga (0.854, 0.862, 0.231)
Hg (0.033, 0.247, 0.804)
Hg (0.033, 0.431, 0.609)
Hg (0.151, 0.088, 0.458)
Hg (0.188, 0.481, 0.173)
Hg (0.188, 0.796, 0.849)
Hg (0.341, 0.038, 0.218)
Hg (0.344, 0.852, 0.411)
Hg (0.647, 0.527, 0.110)
Hg (0.648, 0.739, 0.897)
Hg (0.802, 0.322, 0.974)
Hg (0.804, 0.602, 0.692)

---

# 2
Calculated powder XRD pattern of Ho3In4Hg2 for CuKα, from a crystal structure in Alexandria, relaxed with GGA-PBE.
Kinematic intensities with the Lorentz-polarization factor, no thermal factor.

The 10 most intense peaks (2θ = 10–90°), by intensity:
2θ/deg  intensity  (hkl)
30.7  1000  1 1 1
33.6  915  2 0 1
40.5  414  3 0 0
35.5  363  2 1 0
40.7  313  0 0 2
64.3  292  3 2 1
41.1  277  2 1 1
58.8  276  3 0 2
55.1  204  2 1 2
49.1  113  3 1 0

Structure:
Cell: 7.7216 7.7216 4.4308 Å, 90.00 90.00 120.00°
Space group P-62m (No. 189)
Symmetry-distinct sites (fractional):
Ho (0.0000, 0.5916, 0.0000)
In (0.0000, 0.0000, 0.0000)
In (0.0000, 0.2601, 0.5000)
Hg (0.3333, 0.6667, 0.5000)